Entry 1:
Computed XRD peak list
Compound: NpInRh2
Radiation: Cu Kα (λ = 1.5418 Å)
Structure: DFT lattice parameters and positions (PBE)
Peak positions follow from Bragg's law for the DFT cell and can differ from measured ones.

Atomic structure:
a = 6.649 Å, b = 6.649 Å, c = 6.649 Å
α = 90.00°, β = 90.00°, γ = 90.00°
Space group Fm-3m (No. 225)
One atom of each set of equivalent atoms:
Np 0.000 0.000 0.000 [4 per cell]
In 0.000 0.000 0.500 [4 per cell]
Rh 0.250 0.250 0.250 [8 per cell]

Peak list (8 most intense, 2θ = 5–70°, sorted by position)
- hkl 1 1 1, 2θ 23.17, intensity 10
- hkl 2 0 0, 2θ 26.82, intensity 7
- hkl 2 2 0, 2θ 38.29, intensity 100
- hkl 3 1 1, 2θ 45.23, intensity 5
- hkl 4 0 0, 2θ 55.26, intensity 17
- hkl 3 3 1, 2θ 60.72, intensity 2
- hkl 4 2 0, 2θ 62.47, intensity 3
- hkl 4 2 2, 2θ 69.23, intensity 35


Entry 2:
Computed XRD peak list
Compound: InO3
Radiation: Cu Kα (λ = 1.5418 Å)
Structure: DFT lattice parameters and positions (PBE)
Peak positions follow from Bragg's law for the DFT cell and can differ from measured ones.

Atomic structure:
a = 7.913 Å, b = 8.765 Å, c = 6.884 Å
α = 90.00°, β = 90.00°, γ = 90.00°
Space group Imm2 (No. 44)
One atom of each set of equivalent atoms:
In 0.246 0.246 0.000 [8 per cell]
O 0.000 0.350 0.150 [4 per cell]
O 0.000 0.351 0.350 [4 per cell]
O 0.081 0.000 0.916 [4 per cell]
O 0.086 0.000 0.593 [4 per cell]
O 0.179 0.340 0.748 [8 per cell]

Peak list (8 most intense, 2θ = 5–70°, sorted by position)
- hkl 0 2 0, 2θ 20.26, intensity 100
- hkl 2 0 0, 2θ 22.47, intensity 64
- hkl 0 0 2, 2θ 25.88, intensity 46
- hkl 2 2 0, 2θ 30.44, intensity 91
- hkl 0 2 2, 2θ 33.09, intensity 47
- hkl 2 0 2, 2θ 34.54, intensity 48
- hkl 2 2 2, 2θ 40.37, intensity 74
- hkl 2 4 2, 2θ 54.82, intensity 28


Entry 3:
Computed XRD peak list
Compound: InP3O12
Radiation: Cu Kα (λ = 1.5418 Å)
Structure: DFT lattice parameters and positions (PBE)
Peak positions follow from Bragg's law for the DFT cell and can differ from measured ones.

Atomic structure:
a = 8.8099 Å, b = 8.8099 Å, c = 7.3396 Å
α = 90.00°, β = 90.00°, γ = 120.00°
Space group P6_3 (No. 173)
One atom of each set of equivalent atoms:
In 0.3333 0.6667 0.0000 [2 per cell]
P 0.0503 0.6800 0.6610 [6 per cell]
O 0.0267 0.1966 0.1349 [6 per cell]
O 0.1007 0.5107 0.1618 [6 per cell]
O 0.1662 0.7264 0.4876 [6 per cell]
O 0.1680 0.7268 0.8285 [6 per cell]

Peak list (8 most intense, 2θ = 5–70°, sorted by position)
- hkl 1 0 0, 2θ 11.60, intensity 68
- hkl 1 0 1, 2θ 16.76, intensity 100
- hkl 1 1 1, 2θ 23.56, intensity 85
- hkl 2 0 1, 2θ 26.33, intensity 63
- hkl 1 1 2, 2θ 31.74, intensity 48
- hkl 2 1 1, 2θ 33.38, intensity 46
- hkl 1 2 3, 2θ 48.82, intensity 23
- hkl 3 1 3, 2θ 57.59, intensity 22


Entry 4:
Computed XRD peak list
Compound: InPO4
Radiation: Cu Kα (λ = 1.5418 Å)
Structure: DFT lattice parameters and positions (PBE)
Peak positions follow from Bragg's law for the DFT cell and can differ from measured ones.

Atomic structure:
a = 5.382 Å, b = 8.161 Å, c = 6.928 Å
α = 90.00°, β = 90.00°, γ = 90.00°
Space group Cmcm (No. 63)
One atom of each set of equivalent atoms:
In 0.000 0.000 0.000 [4 per cell]
P 0.000 0.350 0.250 [4 per cell]
O 0.000 0.252 0.062 [8 per cell]
O 0.239 0.463 0.250 [8 per cell]

Peak list (8 most intense, 2θ = 5–70°, sorted by position)
- hkl 1 1 0, 2θ 19.76, intensity 83
- hkl 0 2 0, 2θ 21.78, intensity 39
- hkl 1 1 2, 2θ 32.64, intensity 100
- hkl 2 0 0, 2θ 33.29, intensity 28
- hkl 1 3 0, 2θ 37.03, intensity 40
- hkl 2 0 2, 2θ 42.54, intensity 25
- hkl 2 2 2, 2θ 48.28, intensity 30
- hkl 2 4 2, 2θ 63.18, intensity 23


Entry 5:
Computed XRD peak list
Compound: InPO6
Radiation: Cu Kα (λ = 1.5418 Å)
Structure: DFT lattice parameters and positions (PBE)
Peak positions follow from Bragg's law for the DFT cell and can differ from measured ones.

Atomic structure:
a = 5.362 Å, b = 9.147 Å, c = 10.547 Å
α = 90.00°, β = 113.22°, γ = 90.00°
Space group P2_1/c (No. 14)
One atom of each set of equivalent atoms:
In 0.110 0.184 0.177 [4 per cell]
P 0.270 0.642 0.646 [4 per cell]
O 0.018 0.507 0.232 [4 per cell]
O 0.030 0.636 0.713 [4 per cell]
O 0.138 0.748 0.525 [4 per cell]
O 0.298 0.014 0.104 [4 per cell]
O 0.478 0.205 0.741 [4 per cell]
O 0.491 0.061 0.474 [4 per cell]

Peak list (8 most intense, 2θ = 5–70°, sorted by position)
- hkl 1 0 0, 2θ 18.00, intensity 63
- hkl 0 0 2, 2θ 18.31, intensity 61
- hkl 1 1 -1, 2θ 19.30, intensity 85
- hkl 1 1 -2, 2θ 22.26, intensity 100
- hkl 0 1 3, 2θ 29.32, intensity 34
- hkl 1 0 2, 2θ 30.53, intensity 86
- hkl 1 3 -1, 2θ 33.89, intensity 42
- hkl 0 3 3, 2θ 40.69, intensity 33